AlAsO4: computed X-ray diffraction stick pattern (a wavelength of 1.5418 Å), based on a structure optimized by DFT (GGA-PBE).
Intensities are scaled so that the largest is 100.

Structural model:
```
data_AlAsO4
_chemical_formula_sum 'Al2 As2 O8'
_symmetry_space_group_name_H-M 'I -4'
_symmetry_Int_Tables_number 82
_cell_length_a 5.170
_cell_length_b 5.170
_cell_length_c 7.627
_cell_angle_alpha 90.00
_cell_angle_beta 90.00
_cell_angle_gamma 90.00
loop_
_symmetry_equiv_pos_as_xyz
'x,y,z'
'y,-x,-z'
'-x,-y,z'
'-y,x,-z'
'x+1/2,y+1/2,z+1/2'
'y+1/2,-x+1/2,-z+1/2'
'-x+1/2,-y+1/2,z+1/2'
'-y+1/2,x+1/2,-z+1/2'
loop_
_atom_site_label
_atom_site_type_symbol
_atom_site_fract_x
_atom_site_fract_y
_atom_site_fract_z
_atom_site_occupancy
Al1 Al 0.000 0.000 0.000 1
As1 As 0.000 0.500 0.250 1
O1 O 0.127 0.257 0.125 1
```

The 6 most intense peaks (2θ from 10° to 90°), low angle first:
two_theta	intensity	index
20.76	100.0	1 0 1
24.35	8.0	1 1 0
33.97	33.0	1 1 2
40.78	14.8	2 1 1
53.57	14.4	1 2 3
61.73	9.4	3 1 2